Simulated X-ray powder pattern of K2NiP2 for Cu Kα, from the PBE geometry in the Materials Project.

Largest 10 diffraction maxima, low angle first, 2θ = 10–90°:
two_theta	d [Å]	Rel. int.	h k l
12.80	6.914	78.5	0 2 0
15.21	5.824	92.7	1 1 0
27.79	3.211	34.3	2 0 0
28.66	3.115	100.0	1 3 1
34.71	2.585	41.1	2 2 1
35.34	2.540	32.0	1 5 0
35.52	2.528	24.5	1 1 2
40.16	2.245	37.9	1 3 2
54.19	1.693	28.2	3 5 0
54.31	1.689	28.4	3 1 2

```
data_K2NiP2
_chemical_formula_sum 'K8 Ni4 P8'
_cell_length_a 6.4212
_cell_length_b 13.8272
_cell_length_c 5.6115
_cell_angle_alpha 90.00
_cell_angle_beta 90.00
_cell_angle_gamma 90.00
_space_group_name_H-M_alt 'C m c m'
_space_group_IT_number 63
_space_group_name_Hall '-C 2c 2'
loop_
_atom_site_label
_atom_site_type_symbol
_atom_site_fract_x
_atom_site_fract_y
_atom_site_fract_z
K1 K 0.0000 0.0834 0.2500
K2 K 0.0000 0.2869 0.7500
Ni1 Ni 0.0000 0.5000 0.0000
P1 P 0.1701 0.3996 0.2500
```


Simulated X-ray powder pattern of KNiPS4 for Cu Kα, from the PBE geometry in the Materials Project.

Largest 10 diffraction maxima, low angle first, 2θ = 10–90°:
two_theta	d [Å]	Rel. int.	h k l
14.89	5.948	32.6	1 1 0
16.18	5.479	74.4	0 0 2
16.96	5.227	77.3	1 1 1
21.12	4.206	26.6	2 0 0
22.06	4.030	100.0	1 1 2
23.65	3.762	22.4	2 1 0
26.61	3.350	34.5	1 0 3
37.59	2.393	72.8	3 1 2
46.24	1.963	25.0	4 0 2
55.05	1.668	52.3	4 0 4

```
data_KNiPS4
_chemical_formula_sum 'K4 Ni4 P4 S16'
_cell_length_a 8.4116
_cell_length_b 8.4116
_cell_length_c 10.9581
_cell_angle_alpha 90.00
_cell_angle_beta 90.00
_cell_angle_gamma 90.00
_space_group_name_H-M_alt 'P 42/m n m'
_space_group_IT_number 136
_space_group_name_Hall '-P 4n 2n'
loop_
_atom_site_label
_atom_site_type_symbol
_atom_site_fract_x
_atom_site_fract_y
_atom_site_fract_z
K1 K 0.0000 0.5000 0.2500
Ni1 Ni 0.0000 0.0000 0.0000
Ni2 Ni 0.0000 0.0000 0.5000
P1 P 0.2494 0.2494 0.0000
S1 S 0.0062 0.7377 0.5000
S2 S 0.1346 0.1346 0.1400
```


Simulated X-ray powder pattern of K2Ni3S4 for Cu Kα, from the PBE geometry in the Materials Project.

Largest 10 diffraction maxima, low angle first, 2θ = 10–90°:
two_theta	d [Å]	Rel. int.	h k l
13.48	6.568	100.0	0 0 2
20.45	4.344	20.1	1 0 -1
24.57	3.623	16.7	1 1 3
26.95	3.309	14.1	0 1 -3
35.90	2.501	22.1	2 0 1
37.38	2.405	18.1	2 1 4
38.52	2.337	18.8	2 0 -1
39.20	2.298	21.7	1 2 4
45.59	1.990	18.1	2 0 5
55.81	1.647	22.3	2 2 -5

```
data_K2Ni3S4
_chemical_formula_sum 'K4 Ni6 S8'
_cell_length_a 5.7577
_cell_length_b 5.8141
_cell_length_c 13.4470
_cell_angle_alpha 83.91
_cell_angle_beta 77.64
_cell_angle_gamma 60.32
_space_group_name_H-M_alt 'P 1'
_space_group_IT_number 1
_space_group_name_Hall 'P 1'
loop_
_atom_site_label
_atom_site_type_symbol
_atom_site_fract_x
_atom_site_fract_y
_atom_site_fract_z
K1 K 0.0000 0.0000 0.0000
K2 K 0.0867 0.4953 0.8101
K3 K 0.2363 0.5014 0.4981
K4 K 0.8477 0.9997 0.3091
Ni1 Ni 0.1619 0.0049 0.6560
Ni2 Ni 0.4101 0.5063 0.1557
Ni3 Ni 0.4125 0.9979 0.1526
Ni4 Ni 0.6682 0.5008 0.6501
Ni5 Ni 0.6714 0.0050 0.6524
Ni6 Ni 0.9082 0.5131 0.1556
S1 S 0.2044 0.3352 0.2602
S2 S 0.2945 0.3315 0.0438
S3 S 0.4434 0.8272 0.7657
S4 S 0.5201 0.6777 0.2608
S5 S 0.5623 0.8266 0.5425
S6 S 0.6442 0.6764 0.0411
S7 S 0.7755 0.1675 0.7633
S8 S 0.8775 0.1678 0.5465
```


Simulated X-ray powder pattern of K2Ni3S4 for Cu Kα, from the PBE geometry in the Materials Project.

Largest 10 diffraction maxima, low angle first, 2θ = 10–90°:
two_theta	d [Å]	Rel. int.	h k l
13.48	6.568	100.0	0 0 4
20.45	4.344	18.9	1 1 3
24.57	3.623	19.0	1 1 5
26.95	3.309	13.9	0 2 6
35.90	2.501	22.2	2 2 0
37.38	2.405	18.8	2 0 6
38.52	2.337	18.9	2 2 4
39.20	2.298	21.1	1 3 7
45.59	1.990	19.3	2 2 8
55.81	1.647	23.1	2 2 12

```
data_K2Ni3S4
_chemical_formula_sum 'K16 Ni24 S32'
_cell_length_a 5.7577
_cell_length_b 10.1027
_cell_length_c 26.2705
_cell_angle_alpha 90.00
_cell_angle_beta 90.00
_cell_angle_gamma 90.00
_space_group_name_H-M_alt 'F d d d'
_space_group_IT_number 70
loop_
_space_group_symop_operation_xyz
'x,y,z'
'-x,-y,-z'
'-x+1/4,-y+1/4,z'
'x+1/4,y+1/4,-z'
'x,-y+1/4,-z+1/4'
'-x,y+1/4,z+1/4'
'-x+1/4,y,-z+1/4'
'x+1/4,-y,z+1/4'
'x,y+1/2,z+1/2'
'-x,-y+1/2,-z+1/2'
'-x+1/4,-y+3/4,z+1/2'
'x+1/4,y+3/4,-z+1/2'
'x,-y+3/4,-z+3/4'
'-x,y+3/4,z+3/4'
'-x+1/4,y+1/2,-z+3/4'
'x+1/4,-y+1/2,z+3/4'
'x+1/2,y,z+1/2'
'-x+1/2,-y,-z+1/2'
'-x+3/4,-y+1/4,z+1/2'
'x+3/4,y+1/4,-z+1/2'
'x+1/2,-y+1/4,-z+3/4'
'-x+1/2,y+1/4,z+3/4'
'-x+3/4,y,-z+3/4'
'x+3/4,-y,z+3/4'
'x+1/2,y+1/2,z'
'-x+1/2,-y+1/2,-z'
'-x+3/4,-y+3/4,z'
'x+3/4,y+3/4,-z'
'x+1/2,-y+3/4,-z+1/4'
'-x+1/2,y+3/4,z+1/4'
'-x+3/4,y+1/2,-z+1/4'
'x+3/4,-y+1/2,z+1/4'
loop_
_atom_site_label
_atom_site_type_symbol
_atom_site_fract_x
_atom_site_fract_y
_atom_site_fract_z
K1 K 0.1250 0.1250 0.0468
Ni1 Ni 0.1250 0.1250 0.3757
Ni2 Ni 0.1250 0.1250 0.6250
S1 S 0.1206 0.2911 0.5700
```


Simulated X-ray powder pattern of K2Ni3S2 for Cu Kα, from the PBE geometry in the Materials Project.

Largest 10 diffraction maxima, low angle first, 2θ = 10–90°:
two_theta	d [Å]	Rel. int.	h k l
12.00	7.373	21.5	1 1 1
16.41	5.401	100.0	0 0 4
16.71	5.305	30.8	1 1 3
23.51	3.785	45.6	1 1 5
31.14	2.872	21.6	1 1 7
33.17	2.701	16.5	0 0 8
33.79	2.652	19.4	2 2 6
34.55	2.596	27.4	4 0 0
38.83	2.319	16.2	1 5 1
46.30	1.961	29.8	4 4 0

```
data_K2Ni3S2
_chemical_formula_sum 'K32 Ni48 S32'
_cell_length_a 10.3845
_cell_length_b 11.9682
_cell_length_c 21.6044
_cell_angle_alpha 90.00
_cell_angle_beta 90.00
_cell_angle_gamma 90.00
_space_group_name_H-M_alt 'F d d d'
_space_group_IT_number 70
loop_
_space_group_symop_operation_xyz
'x,y,z'
'-x,-y,-z'
'-x+1/4,-y+1/4,z'
'x+1/4,y+1/4,-z'
'x,-y+1/4,-z+1/4'
'-x,y+1/4,z+1/4'
'-x+1/4,y,-z+1/4'
'x+1/4,-y,z+1/4'
'x,y+1/2,z+1/2'
'-x,-y+1/2,-z+1/2'
'-x+1/4,-y+3/4,z+1/2'
'x+1/4,y+3/4,-z+1/2'
'x,-y+3/4,-z+3/4'
'-x,y+3/4,z+3/4'
'-x+1/4,y+1/2,-z+3/4'
'x+1/4,-y+1/2,z+3/4'
'x+1/2,y,z+1/2'
'-x+1/2,-y,-z+1/2'
'-x+3/4,-y+1/4,z+1/2'
'x+3/4,y+1/4,-z+1/2'
'x+1/2,-y+1/4,-z+3/4'
'-x+1/2,y+1/4,z+3/4'
'-x+3/4,y,-z+3/4'
'x+3/4,-y,z+3/4'
'x+1/2,y+1/2,z'
'-x+1/2,-y+1/2,-z'
'-x+3/4,-y+3/4,z'
'x+3/4,y+3/4,-z'
'x+1/2,-y+3/4,-z+1/4'
'-x+1/2,y+3/4,z+1/4'
'-x+3/4,y+1/2,-z+1/4'
'x+3/4,-y+1/2,z+1/4'
loop_
_atom_site_label
_atom_site_type_symbol
_atom_site_fract_x
_atom_site_fract_y
_atom_site_fract_z
K1 K 0.0032 0.0545 0.4075
Ni1 Ni 0.0000 0.0000 0.0000
Ni2 Ni 0.0144 0.0484 0.2471
S1 S 0.0988 0.3511 0.9662
```


Simulated X-ray powder pattern of K2NpO4 for Cu Kα, from the PBE geometry in the Materials Project.

Largest 10 diffraction maxima, low angle first, 2θ = 10–90°:
two_theta	d [Å]	Rel. int.	h k l
13.21	6.704	98.5	0 0 2
21.53	4.128	100.0	1 0 1
28.68	3.113	94.0	1 0 3
29.11	3.068	57.8	1 1 0
32.09	2.790	24.3	1 1 2
39.51	2.281	26.7	1 0 5
41.63	2.169	31.5	2 0 0
43.87	2.064	21.0	2 0 2
47.34	1.920	26.6	2 1 1
51.34	1.780	38.4	2 1 3

```
data_K2NpO4
_chemical_formula_sum 'K4 Np2 O8'
_cell_length_a 4.3386
_cell_length_b 4.3386
_cell_length_c 13.4073
_cell_angle_alpha 90.00
_cell_angle_beta 90.00
_cell_angle_gamma 90.00
_space_group_name_H-M_alt 'I 4/m m m'
_space_group_IT_number 139
_space_group_name_Hall '-I 4 2'
loop_
_atom_site_label
_atom_site_type_symbol
_atom_site_fract_x
_atom_site_fract_y
_atom_site_fract_z
K1 K 0.0000 0.0000 0.1498
Np1 Np 0.0000 0.0000 0.5000
O1 O 0.0000 0.0000 0.3561
O2 O 0.0000 0.5000 0.0000
```


Simulated X-ray powder pattern of KO for Cu Kα, from the PBE geometry in the Materials Project.

Largest 10 diffraction maxima, low angle first, 2θ = 10–90°:
two_theta	d [Å]	Rel. int.	h k l
25.21	3.533	12.8	1 1 0
28.60	3.121	38.4	0 2 1
33.74	2.656	100.0	1 1 1
36.18	2.483	29.4	1 3 0
36.40	2.468	31.5	0 4 0
42.78	2.114	59.2	1 3 1
45.00	2.014	22.7	0 0 2
48.10	1.892	18.1	2 0 0
59.05	1.564	11.7	1 3 2
59.20	1.561	12.3	0 4 2

```
data_KO
_chemical_formula_sum 'K4 O4'
_cell_length_a 3.7833
_cell_length_b 9.8725
_cell_length_c 4.0290
_cell_angle_alpha 90.00
_cell_angle_beta 90.00
_cell_angle_gamma 90.00
_space_group_name_H-M_alt 'C m c m'
_space_group_IT_number 63
_space_group_name_Hall '-C 2c 2'
loop_
_atom_site_label
_atom_site_type_symbol
_atom_site_fract_x
_atom_site_fract_y
_atom_site_fract_z
K1 K 0.0000 0.1299 0.2500
O1 O 0.0000 0.4196 0.2500
```


Simulated X-ray powder pattern of KO for Cu Kα, from the PBE geometry in the Materials Project.

Largest 10 diffraction maxima, low angle first, 2θ = 10–90°:
two_theta	d [Å]	Rel. int.	h k l
30.51	2.930	100.0	1 1 1
33.85	2.648	18.8	2 0 1
35.03	2.561	12.4	0 0 2
38.50	2.338	8.1	2 1 0
43.48	2.082	17.6	1 1 2
43.90	2.062	36.9	3 0 0
54.41	1.686	11.1	2 2 1
57.36	1.606	10.5	3 0 2
60.05	1.541	11.5	1 1 3
68.61	1.368	6.4	3 2 1

```
data_KO
_chemical_formula_sum 'K6 O6'
_cell_length_a 7.1438
_cell_length_b 7.1438
_cell_length_c 5.1230
_cell_angle_alpha 90.00
_cell_angle_beta 90.00
_cell_angle_gamma 120.00
_space_group_name_H-M_alt 'P -6 2 m'
_space_group_IT_number 189
_space_group_name_Hall 'P -6 -2'
loop_
_atom_site_label
_atom_site_type_symbol
_atom_site_fract_x
_atom_site_fract_y
_atom_site_fract_z
K1 K 0.0000 0.3681 0.0000
K2 K 0.0000 0.7056 0.5000
O1 O 0.0000 0.0000 0.1489
O2 O 0.3333 0.6667 0.3493
```


Simulated X-ray powder pattern of K2O for Cu Kα, from the PBE geometry in the Materials Project.

Largest 10 diffraction maxima, low angle first, 2θ = 10–90°:
two_theta	d [Å]	Rel. int.	h k l
23.22	3.831	20.7	2 0 1
26.93	3.311	100.0	2 2 0
30.02	2.977	48.2	1 1 2
32.99	2.715	49.6	2 0 2
38.32	2.349	50.1	2 2 2
38.45	2.341	79.8	4 0 0
40.76	2.214	45.5	3 1 2
51.55	1.773	23.2	4 2 2
55.51	1.655	22.8	4 4 0
62.75	1.481	18.0	6 2 0

```
data_K2O
_chemical_formula_sum 'K16 O8'
_cell_length_a 9.3639
_cell_length_b 9.3639
_cell_length_c 6.6657
_cell_angle_alpha 90.00
_cell_angle_beta 90.00
_cell_angle_gamma 90.00
_space_group_name_H-M_alt 'P 42/n m c'
_space_group_IT_number 137
loop_
_space_group_symop_operation_xyz
'x,y,z'
'-x,-y,-z'
'-y+1/2,x,z+1/2'
'y+1/2,-x,-z+1/2'
'-x+1/2,-y+1/2,z'
'x+1/2,y+1/2,-z'
'y,-x+1/2,z+1/2'
'-y,x+1/2,-z+1/2'
'x+1/2,-y,-z'
'-x+1/2,y,z'
'-y,-x,-z+1/2'
'y,x,z+1/2'
'-x,y+1/2,-z'
'x,-y+1/2,z'
'y+1/2,x+1/2,-z+1/2'
'-y+1/2,-x+1/2,z+1/2'
loop_
_atom_site_label
_atom_site_type_symbol
_atom_site_fract_x
_atom_site_fract_y
_atom_site_fract_z
K1 K 0.0008 0.5008 0.2500
K2 K 0.2500 0.2500 0.2140
K3 K 0.2500 0.7500 0.0055
O1 O 0.0172 0.2500 0.9765
```


Simulated X-ray powder pattern of K2O for Cu Kα, from the PBE geometry in the Materials Project.

Largest 10 diffraction maxima, low angle first, 2θ = 10–90°:
two_theta	d [Å]	Rel. int.	h k l
18.04	4.918	35.2	0 0 2
27.01	3.301	30.9	1 1 1
28.38	3.145	91.7	1 1 -2
28.66	3.115	42.6	2 0 1
32.01	2.796	17.9	2 0 -3
32.28	2.773	44.6	1 1 2
38.81	2.320	37.5	2 0 -4
39.16	2.300	67.8	1 1 3
42.31	2.136	100.0	0 2 0
58.71	1.573	18.4	2 2 -4

```
data_K2O
_chemical_formula_sum 'K8 O4'
_cell_length_a 7.3918
_cell_length_b 4.2777
_cell_length_c 10.1704
_cell_angle_alpha 90.00
_cell_angle_beta 104.74
_cell_angle_gamma 90.00
_space_group_name_H-M_alt 'C 1 2/m 1'
_space_group_IT_number 12
_space_group_name_Hall '-C 2y'
loop_
_atom_site_label
_atom_site_type_symbol
_atom_site_fract_x
_atom_site_fract_y
_atom_site_fract_z
K1 K 0.1156 0.0000 0.3303
K2 K 0.2060 0.5000 0.1112
O1 O 0.0909 0.5000 0.7844
```


Simulated X-ray powder pattern of K2O for Cu Kα, from the PBE geometry in the Materials Project.

Largest 10 diffraction maxima, low angle first, 2θ = 10–90°:
two_theta	d [Å]	Rel. int.	h k l
25.90	3.440	13.6	1 1 0
27.86	3.203	63.2	1 1 -1
31.54	2.837	100.0	0 2 1
32.47	2.757	65.3	1 2 0
34.08	2.631	17.1	1 2 -1
38.09	2.363	45.9	1 0 1
41.36	2.183	22.9	1 3 0
42.68	2.118	15.9	1 3 -1
43.76	2.069	28.2	1 1 -2
45.86	1.979	21.8	2 1 -1

```
data_K2O
_chemical_formula_sum 'K4 O2'
_cell_length_a 4.1080
_cell_length_b 7.9898
_cell_length_c 4.3426
_cell_angle_alpha 90.00
_cell_angle_beta 111.93
_cell_angle_gamma 90.00
_space_group_name_H-M_alt 'P 1 21 1'
_space_group_IT_number 4
_space_group_name_Hall 'P 2yb'
loop_
_atom_site_label
_atom_site_type_symbol
_atom_site_fract_x
_atom_site_fract_y
_atom_site_fract_z
K1 K 0.0826 0.0000 0.4625
K2 K 0.3576 0.7454 0.0920
O1 O 0.2901 0.3543 0.2579
```


Simulated X-ray powder pattern of K2O for Cu Kα, from the PBE geometry in the Materials Project.

Largest 10 diffraction maxima, low angle first, 2θ = 10–90°:
two_theta	d [Å]	Rel. int.	h k l
23.75	3.746	8.9	1 1 1
27.50	3.244	61.7	2 0 0
39.28	2.294	100.0	2 2 0
46.42	1.956	3.1	3 1 1
48.61	1.873	15.0	2 2 2
56.76	1.622	14.4	4 0 0
62.39	1.488	0.9	3 3 1
64.20	1.451	18.4	4 2 0
71.20	1.324	26.3	4 2 2
84.47	1.147	7.9	4 4 0

```
data_K2O
_chemical_formula_sum 'K8 O4'
_cell_length_a 6.4878
_cell_length_b 6.4878
_cell_length_c 6.4878
_cell_angle_alpha 90.00
_cell_angle_beta 90.00
_cell_angle_gamma 90.00
_space_group_name_H-M_alt 'F m -3 m'
_space_group_IT_number 225
_space_group_name_Hall '-F 4 2 3'
loop_
_atom_site_label
_atom_site_type_symbol
_atom_site_fract_x
_atom_site_fract_y
_atom_site_fract_z
K1 K 0.2500 0.2500 0.2500
O1 O 0.0000 0.0000 0.0000
```


Simulated X-ray powder pattern of K2O for Cu Kα, from the PBE geometry in the Materials Project.

Largest 10 diffraction maxima, low angle first, 2θ = 10–90°:
two_theta	d [Å]	Rel. int.	h k l
25.09	3.549	13.1	1 1 0
32.54	2.751	100.0	1 1 1
35.76	2.511	49.3	2 0 1
38.81	2.320	33.6	1 2 0
41.38	2.182	21.1	0 0 2
44.24	2.047	27.1	3 0 0
58.02	1.590	17.6	3 -1 2
58.16	1.586	10.9	4 -3 1
62.19	1.493	10.4	3 0 2
70.22	1.340	15.0	2 3 1

```
data_K2O
_chemical_formula_sum 'K6 O3'
_cell_length_a 7.0890
_cell_length_b 7.0890
_cell_length_c 4.3641
_cell_angle_alpha 90.00
_cell_angle_beta 90.00
_cell_angle_gamma 120.00
_space_group_name_H-M_alt 'P 3'
_space_group_IT_number 143
_space_group_name_Hall 'P 3'
loop_
_atom_site_label
_atom_site_type_symbol
_atom_site_fract_x
_atom_site_fract_y
_atom_site_fract_z
K1 K 0.0070 0.7372 0.0000
K2 K 0.4072 0.0071 0.5065
O1 O 0.0000 0.0000 0.5015
O2 O 0.3333 0.6667 0.9158
O3 O 0.6667 0.3333 0.0123
```